The following is a simulated PXRD pattern of SrCeO. It was derived from a structure optimized by DFT (PBE), using Cu Ka.

Main lines, by angle (2θ = 10–90°):
two_theta	intensity
12.3	60
27.5	49
28.9	100
29.6	47
31.3	95
40.8	52

Crystal structure
Cell lengths 6.0373, 3.6360, 7.1845 Å; angles 90.00, 90.00, 90.00 degrees
Sites, in units of the cell vectors:
1 Sr 0.2500 0.0000 0.1665
2 Sr 0.7500 0.0000 0.8335
3 Ce 0.2500 0.5000 0.6032
4 Ce 0.7500 0.5000 0.3968
5 O 0.0000 0.0000 0.5000
6 O 0.5000 0.0000 0.5000



The following is a simulated PXRD pattern of Sr2CeO4. It was derived from a structure optimized by DFT (PBE), using Cu Ka.

Main lines, by angle (2θ = 10–90°):
two_theta	intensity
16.7	30
29.4	91
29.8	100
29.9	41
42.2	53
52.6	36

Crystal structure
Cell lengths 6.1544, 10.4612, 3.6333 Å; angles 90.00, 90.00, 90.00 degrees
Sites, in units of the cell vectors:
1 Sr 0.0631 0.1788 0.0000
2 Sr 0.4369 0.6788 0.0000
3 Sr 0.5631 0.3212 0.0000
4 Sr 0.9369 0.8212 0.0000
5 Ce 0.0000 0.5000 0.5000
6 Ce 0.5000 0.0000 0.5000
7 O 0.1427 0.6934 0.5000
8 O 0.2266 0.4578 0.0000
9 O 0.2734 0.9578 0.0000
10 O 0.3573 0.1934 0.5000
11 O 0.6427 0.8066 0.5000
12 O 0.7266 0.0422 0.0000
13 O 0.7734 0.5422 0.0000
14 O 0.8573 0.3066 0.5000



The following is a simulated PXRD pattern of SrCeTeO2. It was derived from a structure optimized by DFT (PBE), using Cu Ka.

Main lines, by angle (2θ = 10–90°):
two_theta	intensity
30.0	100
31.3	37
44.8	20
52.4	23
54.9	36
88.4	10

Crystal structure
Cell lengths 7.2006, 7.2006, 7.2006 Å; angles 147.39, 147.39, 46.78 degrees
Sites, in units of the cell vectors:
1 Sr 0.0000 0.0000 0.0000
2 Ce 0.3186 0.3186 0.0000
3 Te 0.6628 0.6628 0.0000
4 O 0.3913 0.8913 0.5000
5 O 0.8913 0.3913 0.5000



The following is a simulated PXRD pattern of SrCeTeO5. It was derived from a structure optimized by DFT (PBE), using Cu Ka.

Main lines, by angle (2θ = 10–90°):
two_theta	intensity
22.7	72
25.3	71
30.6	49
31.0	100
42.0	24
48.3	21

Crystal structure
Cell lengths 6.2657, 6.2657, 8.3241 Å; angles 107.34, 107.34, 98.39 degrees
Sites, in units of the cell vectors:
1 Sr 0.0672 0.9328 0.7500
2 Sr 0.9328 0.0672 0.2500
3 Ce 0.0000 0.5000 0.0000
4 Ce 0.5000 0.0000 0.5000
5 Te 0.4572 0.5428 0.7500
6 Te 0.5428 0.4572 0.2500
7 O 0.2017 0.2413 0.0664
8 O 0.2050 0.7950 0.2500
9 O 0.2413 0.2017 0.5664
10 O 0.2646 0.6360 0.8835
11 O 0.3640 0.7354 0.6165
12 O 0.6360 0.2646 0.3835
13 O 0.7354 0.3640 0.1165
14 O 0.7587 0.7983 0.4336
15 O 0.7950 0.2050 0.7500
16 O 0.7983 0.7587 0.9336



The following is a simulated PXRD pattern of Sr2Ce2Ti5O15. It was derived from a structure optimized by DFT (PBE), using Cu Ka.

Main lines, by angle (2θ = 10–90°):
two_theta	intensity
18.7	16
32.4	100
39.9	16
46.5	40
57.7	29
67.7	12

Crystal structure
Cell lengths 11.6962, 11.6962, 11.6962 Å; angles 27.37, 27.37, 27.37 degrees
Sites, in units of the cell vectors:
1 Sr 0.1998 0.1998 0.1998
2 Sr 0.8002 0.8002 0.8002
3 Ce 0.3991 0.3991 0.3991
4 Ce 0.6009 0.6009 0.6009
5 Ti 0.0968 0.0968 0.0968
6 Ti 0.3024 0.3024 0.3024
7 Ti 0.5000 0.5000 0.5000
8 Ti 0.6976 0.6976 0.6976
9 Ti 0.9032 0.9032 0.9032
10 O 0.0000 0.5000 0.5000
11 O 0.1030 0.1030 0.5897
12 O 0.1030 0.5897 0.1030
13 O 0.2082 0.6982 0.6982
14 O 0.3018 0.3018 0.7918
15 O 0.3018 0.7918 0.3018
16 O 0.4103 0.8970 0.8970
17 O 0.5000 0.0000 0.5000
18 O 0.5000 0.5000 0.0000
19 O 0.5897 0.1030 0.1030
20 O 0.6982 0.2082 0.6982
21 O 0.6982 0.6982 0.2082
22 O 0.7918 0.3018 0.3018
23 O 0.8970 0.4103 0.8970
24 O 0.8970 0.8970 0.4103



The following is a simulated PXRD pattern of Sr2CeTmO6. It was derived from a structure optimized by DFT (PBE), using Cu Ka.

Main lines, by angle (2θ = 10–90°):
two_theta	intensity
20.7	22
29.1	24
29.5	100
29.8	23
42.2	38
51.8	18

Crystal structure
Cell lengths 5.9929, 6.1380, 10.4431 Å; angles 90.00, 124.91, 90.00 degrees
Sites, in units of the cell vectors:
1 Sr 0.2357 0.0460 0.2501
2 Sr 0.2357 0.4540 0.7501
3 Sr 0.7643 0.5460 0.2499
4 Sr 0.7643 0.9540 0.7499
5 Ce 0.5000 0.0000 0.0000
6 Ce 0.5000 0.5000 0.5000
7 Tm 0.0000 0.0000 0.5000
8 Tm 0.0000 0.5000 0.0000
9 O 0.1484 0.2067 0.9444
10 O 0.1484 0.2933 0.4444
11 O 0.2398 0.7066 0.9448
12 O 0.2398 0.7934 0.4448
13 O 0.3519 0.0417 0.7491
14 O 0.3519 0.4583 0.2491
15 O 0.6481 0.5417 0.7509
16 O 0.6481 0.9583 0.2509
17 O 0.7602 0.2066 0.5552
18 O 0.7602 0.2934 0.0552
19 O 0.8516 0.7067 0.5556
20 O 0.8516 0.7933 0.0556